Entry 1:
This entry pairs a crystal structure of SmZrIr with its calculated powder diffractogram. Radiation: Cu Ka. Structure: DFT lattice parameters and positions (GGA-PBE).

Main lines, low angle first (10 to 90 degrees two-theta):
d = 3.284 Å, 27.15°, intensity 81, (1 1 0)
d = 2.952 Å, 30.28°, intensity 44, (1 1 1)
d = 2.727 Å, 32.84°, intensity 100, (1 0 2)
d = 2.352 Å, 38.27°, intensity 78, (1 1 2)
d = 2.322 Å, 38.78°, intensity 99, (2 0 0)
d = 2.022 Å, 44.82°, intensity 36, (1 0 3)
d = 1.768 Å, 51.70°, intensity 56, (2 1 2)
d = 1.642 Å, 56.00°, intensity 34, (2 2 0)
d = 1.525 Å, 60.73°, intensity 29, (2 1 3)
d = 1.347 Å, 69.85°, intensity 33, (0 0 5)

Structural model:
```
data_SmZrIr
_chemical_formula_sum 'Sm2 Zr2 Ir2'
_space_group_name_H-M_alt 'P 4/n m m'
_space_group_IT_number 129
_cell_length_a 4.644
_cell_length_b 4.644
_cell_length_c 6.739
_cell_angle_alpha 90.00
_cell_angle_beta 90.00
_cell_angle_gamma 90.00
loop_
_space_group_symop_operation_xyz
'x,y,z'
'-x,-y,-z'
'-y+1/2,x,z'
'y+1/2,-x,-z'
'-x+1/2,-y+1/2,z'
'x+1/2,y+1/2,-z'
'y,-x+1/2,z'
'-y,x+1/2,-z'
'x+1/2,-y,-z'
'-x+1/2,y,z'
'-y,-x,-z'
'y,x,z'
'-x,y+1/2,-z'
'x,-y+1/2,z'
'y+1/2,x+1/2,-z'
'-y+1/2,-x+1/2,z'
loop_
_atom_site_label
_atom_site_fract_x
_atom_site_fract_y
_atom_site_fract_z
_atom_site_occupancy
Sm1 0.250 0.250 0.131 1
Zr1 0.250 0.750 0.500 1
Ir1 0.250 0.250 0.708 1
```

=====

Entry 2:
This entry pairs a crystal structure of AcCd9Rh3 with its calculated powder diffractogram. Radiation: Cu Ka. Structure: DFT lattice parameters and positions (GGA-PBE).

Main lines, low angle first (10 to 90 degrees two-theta):
d = 2.893 Å, 30.91°, intensity 28, (2 0 -1)
d = 2.827 Å, 31.65°, intensity 69, (1 3 1)
d = 2.485 Å, 36.14°, intensity 100, (2 2 -2)
d = 2.473 Å, 36.33°, intensity 30, (1 1 2)
d = 2.465 Å, 36.45°, intensity 36, (1 1 -3)
d = 2.430 Å, 36.99°, intensity 89, (0 4 2)
d = 2.419 Å, 37.16°, intensity 74, (1 5 0)
d = 2.230 Å, 40.45°, intensity 25, (2 0 1)
d = 2.200 Å, 41.03°, intensity 49, (2 4 -1)
d = 1.562 Å, 59.14°, intensity 18, (3 5 -1)

Structural model:
```
data_AcCd9Rh3
_chemical_formula_sum 'Ac2 Cd18 Rh6'
_space_group_name_H-M_alt 'C 1 2/m 1'
_space_group_IT_number 12
_space_group_name_Hall '-C 2y'
_cell_length_a 5.786
_cell_length_b 13.566
_cell_length_c 7.532
_cell_angle_alpha 90.00
_cell_angle_beta 112.34
_cell_angle_gamma 90.00
loop_
_atom_site_label
_atom_site_fract_x
_atom_site_fract_y
_atom_site_fract_z
_atom_site_occupancy
Ac1 0.000 0.000 0.000 1
Cd1 0.000 0.500 0.500 1
Cd2 0.112 0.388 0.217 1
Cd3 0.150 0.177 0.335 1
Rh1 0.000 0.000 0.500 1
Rh2 0.250 0.250 0.000 1
```

=====

Entry 3:
This entry pairs a crystal structure of AcLaPrSm2 with its calculated powder diffractogram. Radiation: Cu Ka. Structure: DFT lattice parameters and positions (GGA-PBE).

Main lines, low angle first (10 to 90 degrees two-theta):
d = 3.277 Å, 27.21°, intensity 23, (1 0 -3)
d = 3.022 Å, 29.56°, intensity 25, (0 2 0)
d = 2.881 Å, 31.04°, intensity 100, (2 1 -1)
d = 2.222 Å, 40.61°, intensity 16, (1 2 -3)
d = 1.893 Å, 48.05°, intensity 13, (3 0 1)
d = 1.716 Å, 53.38°, intensity 22, (2 3 -1)
d = 1.604 Å, 57.43°, intensity 16, (3 2 1)
d = 1.602 Å, 57.52°, intensity 8, (3 2 -4)
d = 1.583 Å, 58.30°, intensity 11, (2 1 4)
d = 1.212 Å, 78.98°, intensity 7, (5 1 -5)

Structural model:
```
data_AcLaPrSm2
_chemical_formula_sum 'Ac2 La2 Pr2 Sm4'
_space_group_name_H-M_alt 'P 1 21/m 1'
_space_group_IT_number 11
_space_group_name_Hall '-P 2yb'
_cell_length_a 6.556
_cell_length_b 6.043
_cell_length_c 10.000
_cell_angle_alpha 90.00
_cell_angle_beta 108.94
_cell_angle_gamma 90.00
loop_
_atom_site_label
_atom_site_fract_x
_atom_site_fract_y
_atom_site_fract_z
_atom_site_occupancy
Ac1 0.065 0.250 0.302 1
La1 0.141 0.750 0.098 1
Pr1 0.337 0.750 0.503 1
Sm1 0.275 0.250 0.706 1
Sm2 0.465 0.250 0.097 1
```

=====

Entry 4:
This entry pairs a crystal structure of PmY2Sc6 with its calculated powder diffractogram. Radiation: Cu Ka. Structure: DFT lattice parameters and positions (GGA-PBE).

Main lines, low angle first (10 to 90 degrees two-theta):
d = 4.220 Å, 21.05°, intensity 33, (2 0 -1)
d = 3.477 Å, 25.62°, intensity 44, (3 1 0)
d = 2.997 Å, 29.81°, intensity 57, (3 1 1)
d = 2.683 Å, 33.39°, intensity 100, (2 2 -1)
d = 2.655 Å, 33.76°, intensity 53, (2 0 -2)
d = 2.110 Å, 42.86°, intensity 30, (4 0 -2)
d = 1.901 Å, 47.85°, intensity 20, (3 3 1)
d = 1.738 Å, 52.65°, intensity 26, (0 4 0)
d = 1.490 Å, 62.30°, intensity 26, (4 2 -3)
d = 1.252 Å, 76.03°, intensity 15, (8 2 -2)

Structural model:
```
data_PmY2Sc6
_chemical_formula_sum 'Pm2 Y4 Sc12'
_space_group_name_H-M_alt 'C 1 2/m 1'
_space_group_IT_number 12
_space_group_name_Hall '-C 2y'
_cell_length_a 12.045
_cell_length_b 6.953
_cell_length_c 5.915
_cell_angle_alpha 90.00
_cell_angle_beta 90.02
_cell_angle_gamma 90.00
loop_
_atom_site_label
_atom_site_fract_x
_atom_site_fract_y
_atom_site_fract_z
_atom_site_occupancy
Pm1 0.000 0.000 0.000 1
Y1 0.166 0.500 0.189 1
Sc1 0.094 0.282 0.681 1
Sc2 0.188 0.000 0.318 1
```